This entry pairs a crystal structure of Ac2BO5 with its computed X-ray powder pattern. Radiation: Cu Kα (weighted mean of Kα1 and Kα2). Structure: a structure optimized by DFT (PBE).
No peak broadening, texture or thermal motion is included.

Peak list (8 most intense, 2θ = 5–70°, in order of falling intensity)
h k l	2θ/deg	d [Å]	intensity
0 2 1	25.6	3.486	100
2 2 -1	30.3	2.946	73
2 0 -2	27.5	3.241	67
2 0 0	21.5	4.139	46
2 1 0	24.1	3.690	44
3 2 1	45.5	1.993	38
1 2 1	29.6	3.019	35
0 1 2	28.6	3.118	31

Atomic structure:
a = 8.8575 Å, b = 8.1424 Å, c = 7.2236 Å
α = 90.00°, β = 110.83°, γ = 90.00°
Fractional coordinates of all 32 atoms:
Ac 0.0173 0.1273 0.2723
Ac 0.0173 0.3727 0.7723
Ac 0.3988 0.6707 0.1099
Ac 0.3988 0.8293 0.6099
Ac 0.6012 0.1707 0.3901
Ac 0.6012 0.3293 0.8901
Ac 0.9827 0.6273 0.2277
Ac 0.9827 0.8727 0.7277
B 0.2991 0.0426 0.0391
B 0.2991 0.4574 0.5391
B 0.7009 0.5426 0.4609
B 0.7009 0.9574 0.9609
O 0.1012 0.6355 0.9581
O 0.1012 0.8645 0.4581
O 0.1341 0.1111 0.9905
O 0.1341 0.3889 0.4905
O 0.2938 0.5817 0.3852
O 0.2938 0.9183 0.8852
O 0.3639 0.5367 0.7417
O 0.3639 0.9633 0.2417
O 0.3922 0.1910 0.0275
O 0.3922 0.3090 0.5275
O 0.6078 0.6910 0.4725
O 0.6078 0.8090 0.9725
O 0.6361 0.0367 0.7583
O 0.6361 0.4633 0.2583
O 0.7062 0.0817 0.1148
O 0.7062 0.4183 0.6148
O 0.8659 0.6111 0.5095
O 0.8659 0.8889 0.0095
O 0.8988 0.1355 0.5419
O 0.8988 0.3645 0.0419